Theoretical powder diffractogram of Al7CoCu2 for λ = 1.5418 Å (Cu Kα), from DFT lattice parameters and positions (GGA-PBE).
Neutral-atom scattering factors, no anomalous dispersion.

Largest 12 diffraction maxima, by angle, 10° ≤ 2θ ≤ 90°:
| two_theta | I (rel.) |
| --- | --- |
| 12.00 | 33 |
| 22.92 | 61 |
| 23.30 | 30 |
| 24.12 | 18 |
| 30.82 | 24 |
| 40.23 | 100 |
| 42.32 | 27 |
| 44.42 | 92 |
| 45.42 | 66 |
| 45.89 | 63 |
| 66.24 | 17 |
| 83.27 | 24 |

```
data_Al7CoCu2
_space_group_name_H-M_alt 'P 1'
_space_group_IT_number 1
_space_group_name_Hall 'P 1'
_cell_length_a 6.310
_cell_length_b 6.310
_cell_length_c 14.757
_cell_angle_alpha 90.00
_cell_angle_beta 90.00
_cell_angle_gamma 90.00
loop_
_atom_site_label
_atom_site_fract_x
_atom_site_fract_y
_atom_site_fract_z
Al1 0.000 0.000 0.132
Al2 0.000 0.000 0.868
Al3 0.087 0.296 0.400
Al4 0.087 0.296 0.600
Al5 0.155 0.655 0.250
Al6 0.155 0.655 0.750
Al7 0.204 0.413 0.100
Al8 0.204 0.413 0.900
Al9 0.296 0.913 0.400
Al10 0.296 0.913 0.600
Al11 0.345 0.155 0.250
Al12 0.345 0.155 0.750
Al13 0.413 0.796 0.100
Al14 0.413 0.796 0.900
Al15 0.500 0.500 0.368
Al16 0.500 0.500 0.632
Al17 0.587 0.204 0.100
Al18 0.587 0.204 0.900
Al19 0.655 0.845 0.250
Al20 0.655 0.845 0.750
Al21 0.704 0.087 0.400
Al22 0.704 0.087 0.600
Al23 0.796 0.587 0.100
Al24 0.796 0.587 0.900
Al25 0.845 0.345 0.250
Al26 0.845 0.345 0.750
Al27 0.913 0.704 0.400
Al28 0.913 0.704 0.600
Co1 0.000 0.000 0.298
Co2 0.000 0.000 0.702
Co3 0.500 0.500 0.202
Co4 0.500 0.500 0.798
Cu1 0.091 0.727 0.000
Cu2 0.227 0.591 0.500
Cu3 0.273 0.091 0.000
Cu4 0.409 0.227 0.500
Cu5 0.591 0.773 0.500
Cu6 0.727 0.909 0.000
Cu7 0.773 0.409 0.500
Cu8 0.909 0.273 0.000
```